Diffraction record for Hf7ZrIn5. The PXRD pattern is theoretical, not measured: it uses a structure optimized by DFT (PBE) and CuKα.
Lines closer than 0.1° are merged.

Cell and atoms:
Cell lengths 7.766, 7.766, 7.766 Å; angles 136.91, 98.29, 97.21 degrees
Fractional positions:
Hf (0.000, 0.000, 0.000)
Hf (0.273, 0.273, 0.000)
Hf (0.280, 0.633, 0.647)
Hf (0.436, 0.132, 0.303)
Hf (0.829, 0.132, 0.697)
Hf (0.859, 0.359, 0.500)
Hf (0.987, 0.633, 0.353)
Zr (0.671, 0.671, 0.000)
In (0.125, 0.130, 0.493)
In (0.125, 0.631, 0.995)
In (0.405, 0.905, 0.500)
In (0.636, 0.130, 0.005)
In (0.636, 0.631, 0.507)

Most intense lines, 10° ≤ 2θ ≤ 90°, sorted by position:
d 2.912, rel. 49.9
d 2.852, rel. 37.1
d 2.568, rel. 38.1
d 2.541, rel. 81.4
d 2.533, rel. 100.0
d 2.490, rel. 84.3
d 2.292, rel. 32.7
d 2.280, rel. 99.1
d 2.238, rel. 94.4
d 1.578, rel. 36.1